The following is a theoretical powder XRD pattern of Ba3SrSb3. It was derived from a PBE-relaxed structure, using Cu Kα (weighted mean of Kα1 and Kα2).

Cell and atoms:
abc: 10.441 10.441 10.441
angles: 90.00 90.00 90.00
Space group P2_13 (No. 198)
Inequivalent atoms, fractional coordinates:
Ba  0.070  0.430  0.570 x4
Ba  0.178  0.178  0.178 x4
Ba  0.178  0.822  0.322 x4
Sr  0.071  0.571  0.929 x4
Sb  0.000  0.255  0.870 x12

Most intense lines, 10 to 90 degrees two-theta, low angle first:
- d 3.302, 27.0 deg, rel. 100
- d 2.790, 32.1 deg, rel. 67
- d 2.335, 38.6 deg, rel. 13
- d 2.131, 42.4 deg, rel. 16
- d 2.048, 44.2 deg, rel. 22
- d 1.694, 54.2 deg, rel. 28
- d 1.611, 57.2 deg, rel. 15
- d 1.421, 65.7 deg, rel. 17

=====

The following is a theoretical powder XRD pattern of Ba2Sr3Sb3. It was derived from a PBE-relaxed structure, using Cu Kα (weighted mean of Kα1 and Kα2).

Cell and atoms:
abc: 9.8012 9.8012 7.7719
angles: 90.00 90.00 120.00
Space group P6_3/mcm (No. 193)
Inequivalent atoms, fractional coordinates:
Ba  0.3333  0.6667  0.0000 x4
Sr  0.0000  0.2550  0.2500 x6
Sb  0.0000  0.3847  0.7500 x6

Most intense lines, 10 to 90 degrees two-theta, low angle first:
- d 8.488, 10.4 deg, rel. 24
- d 3.208, 27.8 deg, rel. 21
- d 3.045, 29.3 deg, rel. 100
- d 2.965, 30.1 deg, rel. 66
- d 2.829, 31.6 deg, rel. 59
- d 2.073, 43.7 deg, rel. 23
- d 2.015, 45.0 deg, rel. 23
- d 1.602, 57.5 deg, rel. 28

=====

The following is a theoretical powder XRD pattern of Ba2TcSb. It was derived from a PBE-relaxed structure, using Cu Kα (weighted mean of Kα1 and Kα2).

Cell and atoms:
abc: 4.623 5.103 12.170
angles: 90.00 90.00 90.00
Space group Amm2 (No. 38)
Inequivalent atoms, fractional coordinates:
Ba  0.000  0.000  0.000 x2
Ba  0.500  0.000  0.282 x2
Tc  0.500  0.000  0.593 x2
Sb  0.000  0.000  0.697 x2

Most intense lines, 10 to 90 degrees two-theta, low angle first:
- d 3.298, 27.0 deg, rel. 100
- d 3.175, 28.1 deg, rel. 75
- d 2.617, 34.3 deg, rel. 66
- d 2.551, 35.2 deg, rel. 38
- d 2.541, 35.3 deg, rel. 33
- d 2.312, 39.0 deg, rel. 29
- d 1.869, 48.7 deg, rel. 32
- d 1.801, 50.7 deg, rel. 23

=====

The following is a theoretical powder XRD pattern of BaTc4Sb12. It was derived from a PBE-relaxed structure, using Cu Kα (weighted mean of Kα1 and Kα2).

Cell and atoms:
abc: 9.543 9.543 9.543
angles: 90.00 90.00 90.00
Space group Im-3 (No. 204)
Inequivalent atoms, fractional coordinates:
Ba  0.000  0.000  0.000 x2
Tc  0.250  0.250  0.250 x8
Sb  0.000  0.343  0.162 x24

Most intense lines, 10 to 90 degrees two-theta, low angle first:
- d 3.018, 29.6 deg, rel. 100
- d 2.551, 35.2 deg, rel. 43
- d 2.134, 42.4 deg, rel. 23
- d 1.948, 46.6 deg, rel. 31
- d 1.872, 48.6 deg, rel. 28
- d 1.637, 56.2 deg, rel. 12
- d 1.407, 66.4 deg, rel. 18
- d 1.125, 86.5 deg, rel. 15

=====

The following is a theoretical powder XRD pattern of Ba2SbTe4. It was derived from a PBE-relaxed structure, using Cu Kα (weighted mean of Kα1 and Kα2).

Cell and atoms:
abc: 7.954 7.757 9.313
angles: 90.00 105.81 90.00
Space group P2_1/m (No. 11)
Inequivalent atoms, fractional coordinates:
Ba  0.221  0.250  0.045 x2
Ba  0.266  0.250  0.571 x2
Sb  0.256  0.750  0.315 x2
Te  0.004  0.011  0.264 x4
Te  0.373  0.750  0.041 x2
Te  0.405  0.750  0.650 x2

Most intense lines, 10 to 90 degrees two-theta, low angle first:
- d 3.879, 22.9 deg, rel. 58
- d 3.475, 25.6 deg, rel. 59
- d 3.460, 25.8 deg, rel. 100
- d 3.403, 26.2 deg, rel. 72
- d 3.117, 28.6 deg, rel. 62
- d 2.932, 30.5 deg, rel. 63
- d 2.918, 30.6 deg, rel. 58
- d 2.724, 32.9 deg, rel. 96

=====

The following is a theoretical powder XRD pattern of BaSbTe3. It was derived from a PBE-relaxed structure, using Cu Kα (weighted mean of Kα1 and Kα2).

Cell and atoms:
abc: 4.613 17.350 18.342
angles: 90.00 90.00 90.00
Space group P2_12_12_1 (No. 19)
Inequivalent atoms, fractional coordinates:
Ba  0.238  0.104  0.404 x4
Ba  0.242  0.960  0.166 x4
Sb  0.225  0.281  0.800 x4
Sb  0.231  0.367  0.029 x4
Te  0.193  0.712  0.808 x4
Te  0.213  0.237  0.559 x4
Te  0.221  0.819  0.592 x4
Te  0.238  0.897  0.368 x4
Te  0.240  0.433  0.733 x4
Te  0.247  0.475  0.475 x4

Most intense lines, 10 to 90 degrees two-theta, low angle first:
- d 3.409, 26.1 deg, rel. 31
- d 3.246, 27.5 deg, rel. 66
- d 3.196, 27.9 deg, rel. 90
- d 3.106, 28.7 deg, rel. 23
- d 3.045, 29.3 deg, rel. 100
- d 2.306, 39.1 deg, rel. 43
- d 2.124, 42.6 deg, rel. 27
- d 1.880, 48.4 deg, rel. 21

=====

The following is a theoretical powder XRD pattern of Ba3TiSb3. It was derived from a PBE-relaxed structure, using Cu Kα (weighted mean of Kα1 and Kα2).

Cell and atoms:
abc: 21.096 7.390 14.330
angles: 90.00 90.00 90.00
Space group Cmce (No. 64)
Inequivalent atoms, fractional coordinates:
Ba  0.000  0.178  0.156 x8
Ba  0.174  0.189  0.867 x16
Ti  0.081  0.000  0.500 x8
Sb  0.000  0.219  0.402 x8
Sb  0.158  0.192  0.617 x16

Most intense lines, 10 to 90 degrees two-theta, low angle first:
- d 3.695, 24.1 deg, rel. 63
- d 3.582, 24.9 deg, rel. 97
- d 3.516, 25.3 deg, rel. 100
- d 3.388, 26.3 deg, rel. 45
- d 2.929, 30.5 deg, rel. 40
- d 2.572, 34.9 deg, rel. 56
- d 2.547, 35.2 deg, rel. 63
- d 2.509, 35.8 deg, rel. 91

=====

The following is a theoretical powder XRD pattern of BaY3Sb. It was derived from a PBE-relaxed structure, using Cu Kα (weighted mean of Kα1 and Kα2).

Cell and atoms:
abc: 5.896 5.896 5.896
angles: 90.00 90.00 90.00
Space group Pm-3m (No. 221)
Inequivalent atoms, fractional coordinates:
Ba  0.000  0.000  0.000 x1
Y  0.000  0.500  0.500 x3
Sb  0.500  0.500  0.500 x1

Most intense lines, 10 to 90 degrees two-theta, low angle first:
- d 4.169, 21.3 deg, rel. 45
- d 3.404, 26.2 deg, rel. 57
- d 2.948, 30.3 deg, rel. 100
- d 2.084, 43.4 deg, rel. 73
- d 1.778, 51.4 deg, rel. 26
- d 1.702, 53.9 deg, rel. 26
- d 1.318, 71.6 deg, rel. 32
- d 1.203, 79.7 deg, rel. 24

=====

The following is a theoretical powder XRD pattern of Ba3Sc. It was derived from a PBE-relaxed structure, using Cu Kα (weighted mean of Kα1 and Kα2).

Cell and atoms:
abc: 8.256 11.208 4.176
angles: 90.00 90.00 90.00
Space group Cmmm (No. 65)
Inequivalent atoms, fractional coordinates:
Ba  0.000  0.000  0.000 x2
Ba  0.250  0.250  0.500 x4
Sc  0.000  0.500  0.000 x2

Most intense lines, 10 to 90 degrees two-theta, low angle first:
- d 6.647, 13.3 deg, rel. 18
- d 3.349, 26.6 deg, rel. 100
- d 3.324, 26.8 deg, rel. 98
- d 2.936, 30.4 deg, rel. 71
- d 2.802, 31.9 deg, rel. 31
- d 2.027, 44.7 deg, rel. 48
- d 1.768, 51.7 deg, rel. 31
- d 1.757, 52.1 deg, rel. 30

=====

The following is a theoretical powder XRD pattern of Ba7Sc6. It was derived from a PBE-relaxed structure, using Cu Kα (weighted mean of Kα1 and Kα2).

Cell and atoms:
abc: 7.1917 7.1917 35.5821
angles: 90.00 90.00 120.00
Space group R-3m (No. 166, hexagonal axes)
Inequivalent atoms, fractional coordinates:
Ba  0.0000  0.0000  0.0000 x3
Ba  0.0078  0.5039  0.4172 x18
Sc  0.0000  0.0000  0.1667 x6
Sc  0.0000  0.0000  0.3616 x6
Sc  0.0000  0.0000  0.4575 x6

Most intense lines, 10 to 90 degrees two-theta, low angle first:
- d 6.135, 14.4 deg, rel. 36
- d 5.930, 14.9 deg, rel. 52
- d 3.102, 28.8 deg, rel. 51
- d 3.072, 29.1 deg, rel. 100
- d 2.871, 31.2 deg, rel. 31
- d 2.853, 31.4 deg, rel. 72
- d 2.656, 33.8 deg, rel. 53
- d 1.798, 50.8 deg, rel. 34

=====

The following is a theoretical powder XRD pattern of Ba2ScSe3. It was derived from a PBE-relaxed structure, using Cu Kα (weighted mean of Kα1 and Kα2).

Cell and atoms:
abc: 4.438 5.208 16.994
angles: 90.00 90.00 90.00
Space group Immm (No. 71)
Inequivalent atoms, fractional coordinates:
Ba  0.000  0.000  0.147 x4
Sc  0.000  0.000  0.500 x2
Se  0.000  0.000  0.341 x4
Se  0.000  0.500  0.500 x2

Most intense lines, 10 to 90 degrees two-theta, low angle first:
- d 3.494, 25.5 deg, rel. 33
- d 3.378, 26.4 deg, rel. 100
- d 3.139, 28.4 deg, rel. 33
- d 2.832, 31.6 deg, rel. 47
- d 2.644, 33.9 deg, rel. 90
- d 2.604, 34.4 deg, rel. 49
- d 2.219, 40.7 deg, rel. 39
- d 2.170, 41.6 deg, rel. 38

=====

The following is a theoretical powder XRD pattern of Ba3Sm3ScSe8. It was derived from a PBE-relaxed structure, using Cu Kα (weighted mean of Kα1 and Kα2).

Cell and atoms:
abc: 8.4959 8.4959 22.6665
angles: 90.00 90.00 120.00
Space group R-3m (No. 166, hexagonal axes)
Inequivalent atoms, fractional coordinates:
Ba  0.0000  0.5000  0.0000 x9
Sm  0.0000  0.5000  0.5000 x9
Sc  0.0000  0.0000  0.5000 x3
Se  0.0000  0.0000  0.2399 x6
Se  0.0148  0.5074  0.2357 x18

Most intense lines, 10 to 90 degrees two-theta, low angle first:
- d 6.171, 14.4 deg, rel. 12
- d 3.086, 28.9 deg, rel. 100
- d 2.245, 40.2 deg, rel. 35
- d 2.124, 42.6 deg, rel. 36
- d 1.750, 52.3 deg, rel. 19
- d 1.543, 60.0 deg, rel. 11
- d 1.411, 66.2 deg, rel. 13
- d 1.350, 69.6 deg, rel. 15